No. 1
# SmDy2Te3
Computed powder XRD pattern, Cu Kα (λ = 1.5418 Å). Input: a crystal structure in Alexandria, relaxed with GGA-PBE.
Lines closer than 0.1° are merged.

Cell and atoms:
```
data_SmDy2Te3
_cell_length_a 4.4101
_cell_length_b 6.1754
_cell_length_c 13.1256
_cell_angle_alpha 90.00
_cell_angle_beta 90.00
_cell_angle_gamma 90.00
_symmetry_space_group_name_H-M 'I m m m'
_symmetry_Int_Tables_number 71
_symmetry_space_group_name_Hall '-I 2 2'
loop_
_atom_site_label
_atom_site_type_symbol
_atom_site_fract_x
_atom_site_fract_y
_atom_site_fract_z
_atom_site_occupancy
Sm1 Sm 0.0000 0.0000 0.0000 1
Dy1 Dy 0.0000 0.0000 0.3400 1
Te1 Te 0.0000 0.5000 0.0000 1
Te2 Te 0.0000 0.5000 0.3272 1
```

Main lines, low angle first (2θ = 10–90°):
d 3.106, 2θ 28.7, rel. 100; d 3.088, 2θ 28.9, rel. 50; d 2.205, 2θ 40.9, rel. 19; d 2.189, 2θ 41.2, rel. 94; d 1.794, 2θ 50.9, rel. 21; d 1.785, 2θ 51.2, rel. 20; d 1.387, 2θ 67.5, rel. 17; d 1.382, 2θ 67.8, rel. 17; d 1.270, 2θ 74.7, rel. 13; d 1.264, 2θ 75.2, rel. 18



No. 2
# Sr2Au17
Computed powder XRD pattern, Cu Kα (λ = 1.5418 Å). Input: a crystal structure in Alexandria, relaxed with GGA-PBE.
Lines closer than 0.1° are merged.

Cell and atoms:
```
data_Sr2Au17
_cell_length_a 9.7433
_cell_length_b 9.7433
_cell_length_c 14.2915
_cell_angle_alpha 90.00
_cell_angle_beta 90.00
_cell_angle_gamma 120.00
_symmetry_space_group_name_H-M 'R -3 m'
_symmetry_Int_Tables_number 166
_symmetry_space_group_name_Hall '-R 3 2"'
loop_
_atom_site_label
_atom_site_type_symbol
_atom_site_fract_x
_atom_site_fract_y
_atom_site_fract_z
_atom_site_occupancy
Sr1 Sr 0.0000 0.0000 0.1618 1
Au1 Au 0.0000 0.0000 0.3998 1
Au2 Au 0.0000 0.3054 0.5000 1
Au3 Au 0.0000 0.5000 0.0000 1
Au4 Au 0.0038 0.5019 0.6534 1
```

Main lines, low angle first (2θ = 10–90°):
d 4.872, 2θ 18.2, rel. 27; d 2.813, 2θ 31.8, rel. 23; d 2.436, 2θ 36.9, rel. 46; d 2.422, 2θ 37.1, rel. 81; d 2.382, 2θ 37.8, rel. 37; d 2.169, 2θ 41.6, rel. 100; d 2.140, 2θ 42.2, rel. 31; d 1.457, 2θ 63.9, rel. 19; d 1.406, 2θ 66.5, rel. 28; d 1.383, 2θ 67.8, rel. 21



No. 3
# CeTa2TlO7
Computed powder XRD pattern, Cu Kα (λ = 1.5418 Å). Input: a crystal structure in Alexandria, relaxed with GGA-PBE.
Lines closer than 0.1° are merged.

Cell and atoms:
```
data_CeTa2TlO7
_cell_length_a 3.8976
_cell_length_b 3.8976
_cell_length_c 11.2901
_cell_angle_alpha 90.00
_cell_angle_beta 90.00
_cell_angle_gamma 90.00
_symmetry_space_group_name_H-M 'P 4/m m m'
_symmetry_Int_Tables_number 123
_symmetry_space_group_name_Hall '-P 4 2'
loop_
_atom_site_label
_atom_site_type_symbol
_atom_site_fract_x
_atom_site_fract_y
_atom_site_fract_z
_atom_site_occupancy
Ce1 Ce 0.0000 0.0000 0.0000 1
Ta1 Ta 0.5000 0.5000 0.2007 1
Tl1 Tl 0.0000 0.0000 0.5000 1
O1 O 0.0000 0.5000 0.1611 1
O2 O 0.5000 0.5000 0.0000 1
O3 O 0.5000 0.5000 0.3610 1
```

Main lines, low angle first (2θ = 10–90°):
d 3.763, 2θ 23.6, rel. 13; d 3.684, 2θ 24.2, rel. 10; d 3.207, 2θ 27.8, rel. 100; d 2.756, 2θ 32.5, rel. 40; d 1.972, 2θ 46.0, rel. 15; d 1.954, 2θ 46.5, rel. 13; d 1.949, 2θ 46.6, rel. 21; d 1.665, 2θ 55.1, rel. 31; d 1.379, 2θ 68.0, rel. 15; d 1.097, 2θ 89.3, rel. 8